Entry 1:
The following is a computed powder XRD pattern of Tl6Cd3In. It was derived from a PBE-relaxed structure, using Cu Kα (λ = 1.5418 Å).
Intensities are scaled so that the largest is 100.

Most intense lines, 2θ from 15° to 90°, by intensity:
2θ 28.9, 3.085 Å, I = 100
2θ 35.5, 2.530 Å, I = 76
2θ 30.6, 2.919 Å, I = 31
2θ 58.2, 1.584 Å, I = 23
2θ 42.6, 2.120 Å, I = 22
2θ 46.7, 1.946 Å, I = 21

Structure:
abc: 6.7411 6.7411 7.6597
angles: 90.00 90.00 120.00
Positions (direct):
Tl: 0.0000 0.3992 0.3043
Tl: 0.0000 0.6008 0.6957
Tl: 0.3992 0.0000 0.3043
Tl: 0.3992 0.3992 0.6957
Tl: 0.6008 0.0000 0.6957
Tl: 0.6008 0.6008 0.3043
Cd: 0.0000 0.0000 0.0000
Cd: 0.3333 0.6667 0.0000
Cd: 0.6667 0.3333 0.0000
In: 0.0000 0.0000 0.5000

***

Entry 2:
The following is a computed powder XRD pattern of Tl2CdIn3. It was derived from a PBE-relaxed structure, using Cu Kα (λ = 1.5418 Å).
Intensities are scaled so that the largest is 100.

Most intense lines, 2θ from 15° to 90°, by intensity:
2θ 34.9, 2.569 Å, I = 100
2θ 25.4, 3.501 Å, I = 73
2θ 27.4, 3.255 Å, I = 53
2θ 40.4, 2.234 Å, I = 41
2θ 36.2, 2.485 Å, I = 30
2θ 46.0, 1.975 Å, I = 22

Structure:
abc: 8.3448 8.3448 6.5482
angles: 90.00 90.00 53.43
Positions (direct):
Tl: 0.0524 0.3055 0.2500
Tl: 0.3055 0.0524 0.7500
Tl: 0.6945 0.9476 0.2500
Tl: 0.9476 0.6945 0.7500
Cd: 0.3329 0.6671 0.2500
Cd: 0.6671 0.3329 0.7500
In: 0.0000 0.0000 0.0000
In: 0.0000 0.0000 0.5000
In: 0.3540 0.3540 0.0000
In: 0.3540 0.3540 0.5000
In: 0.6460 0.6460 0.0000
In: 0.6460 0.6460 0.5000

***

Entry 3:
The following is a computed powder XRD pattern of Tl2CdIn6. It was derived from a PBE-relaxed structure, using Cu Kα (λ = 1.5418 Å).
Intensities are scaled so that the largest is 100.

Most intense lines, 2θ from 15° to 90°, by intensity:
2θ 33.1, 2.710 Å, I = 100
2θ 33.2, 2.699 Å, I = 66
2θ 59.1, 1.563 Å, I = 43
2θ 47.5, 1.912 Å, I = 24
2θ 29.2, 3.057 Å, I = 19
2θ 59.4, 1.556 Å, I = 19

Structure:
abc: 9.3870 9.3870 3.2994
angles: 90.00 90.00 120.00
Positions (direct):
Tl: 0.3333 0.6667 0.0000
Tl: 0.6667 0.3333 0.0000
Cd: 0.0000 0.0000 0.5000
In: 0.0000 0.3285 0.6753
In: 0.0000 0.6715 0.3247
In: 0.3285 0.0000 0.6753
In: 0.3285 0.3285 0.3247
In: 0.6715 0.0000 0.3247
In: 0.6715 0.6715 0.6753